Structure and computed powder diffraction line list of RbDyPbSe3 (DFT lattice parameters and positions (GGA-PBE); Cu Kα).
Kinematic intensities with the Lorentz-polarization factor, no thermal factor.

Structure:
```
RbDyPbSe3
1.0
2.095 -8.755 0.000
2.095 8.755 0.000
0.000 0.000 12.076
Rb Dy Pb Se
2 2 2 6
Direct
0.177 0.823 0.750
0.823 0.177 0.250
0.500 0.500 0.000
0.500 0.500 0.500
0.106 0.894 0.250
0.894 0.106 0.750
0.111 0.889 0.004
0.111 0.889 0.496
0.496 0.504 0.250
0.504 0.496 0.750
0.889 0.111 0.504
0.889 0.111 0.996
```

Main lines, by angle (2θ = 5–70°):
Position (°2θ), d_spacing, Rel. int.
10.10, 8.755, 100
12.49, 7.088, 28
26.18, 3.403, 80
27.22, 3.276, 27
29.59, 3.019, 58
33.35, 2.687, 49
39.92, 2.259, 52
43.18, 2.095, 22
45.18, 2.007, 42
53.22, 1.721, 22

Structure and computed powder diffraction line list of SmDyPb4 (DFT lattice parameters and positions (GGA-PBE); Cu Kα).
Kinematic intensities with the Lorentz-polarization factor, no thermal factor.

Structure:
```
SmDyPb4
1.0
3.329 0.000 0.000
0.000 3.169 9.683
0.000 -3.169 9.683
Sm Dy Pb
1 1 4
Direct
0.000 0.000 0.000
0.000 0.815 0.815
0.000 0.165 0.165
0.000 0.324 0.324
0.000 0.488 0.488
0.000 0.649 0.649
```

Main lines, by angle (2θ = 5–70°):
Position (°2θ), d_spacing, Rel. int.
26.78, 3.329, 100
27.64, 3.228, 87
28.16, 3.169, 88
38.86, 2.317, 71
39.25, 2.295, 74
39.86, 2.261, 67
48.68, 1.871, 76
62.82, 1.479, 18
63.09, 1.474, 19
64.15, 1.452, 18

Structure and computed powder diffraction line list of SmDyZn2Pb2 (DFT lattice parameters and positions (GGA-PBE); Cu Kα).
Kinematic intensities with the Lorentz-polarization factor, no thermal factor.

Structure:
```
SmDyZn2Pb2
1.0
4.621 0.000 0.000
-2.311 4.002 0.000
0.000 0.000 16.158
Sm Dy Zn Pb
2 2 4 4
Direct
0.000 0.000 0.250
0.000 0.000 0.750
0.000 0.000 0.000
0.000 0.000 0.500
0.333 0.667 0.163
0.333 0.667 0.337
0.667 0.333 0.663
0.667 0.333 0.837
0.333 0.667 0.609
0.333 0.667 0.891
0.667 0.333 0.109
0.667 0.333 0.391
```

Main lines, by angle (2θ = 5–70°):
Position (°2θ), d_spacing, Rel. int.
22.89, 3.885, 10
27.77, 3.212, 44
31.47, 2.843, 100
38.98, 2.311, 72
45.36, 1.999, 26
48.54, 1.876, 10
50.93, 1.793, 26
60.92, 1.521, 16
61.31, 1.512, 11
65.94, 1.417, 24

Structure and computed powder diffraction line list of TbDyPb4 (DFT lattice parameters and positions (GGA-PBE); Cu Kα).
Kinematic intensities with the Lorentz-polarization factor, no thermal factor.

Structure:
```
TbDyPb4
1.0
3.309 0.000 0.000
0.000 3.157 9.639
0.000 -3.157 9.639
Tb Dy Pb
1 1 4
Direct
0.000 0.000 0.000
0.000 0.183 0.183
0.000 0.348 0.348
0.000 0.510 0.510
0.000 0.675 0.675
0.000 0.835 0.835
```

Main lines, by angle (2θ = 5–70°):
Position (°2θ), d_spacing, Rel. int.
26.95, 3.309, 100
27.76, 3.213, 89
28.27, 3.157, 89
39.08, 2.305, 73
39.45, 2.284, 74
40.04, 2.252, 68
48.93, 1.862, 77
63.22, 1.471, 18
63.48, 1.465, 19
64.49, 1.445, 18